(1)
Simulated powder XRD pattern of NdErHg6 for Cu Kα, from a crystal structure in OQMD, relaxed with PBE.
Neutral-atom scattering factors, no anomalous dispersion.

Main lines, by intensity (2θ = 15–90°):
2θ 36.0, I 100, hkl 2 0 1
2θ 31.1, I 24, hkl 2 0 0
2θ 35.8, I 23, hkl 0 0 2
2θ 67.7, I 22, hkl 2 2 2
2θ 55.4, I 20, hkl 2 2 0
2θ 64.5, I 19, hkl 2 0 3
2θ 67.8, I 16, hkl 4 0 1
2θ 48.1, I 15, hkl 2 0 2
2θ 76.4, I 4, hkl 4 0 2
2θ 84.2, I 3, hkl 2 0 4

Cell and atoms:
```
data_NdErHg6
_chemical_formula_sum 'Nd1 Er1 Hg6'
_space_group_name_H-M_alt 'P -6 m 2'
_space_group_IT_number 187
_space_group_name_Hall 'P -6 2'
_cell_length_a 6.6384
_cell_length_b 6.6384
_cell_length_c 5.0176
_cell_angle_alpha 90.00
_cell_angle_beta 90.00
_cell_angle_gamma 120.00
loop_
_atom_site_label
_atom_site_type_symbol
_atom_site_fract_x
_atom_site_fract_y
_atom_site_fract_z
Nd1 Nd 0.0000 0.0000 0.0000
Er1 Er 0.6667 0.3333 0.5000
Hg1 Hg 0.1706 0.3412 0.5000
Hg2 Hg 0.5014 0.0028 0.0000
```

---

(2)
Simulated powder XRD pattern of SrErHg6 for Cu Kα, from a crystal structure in OQMD, relaxed with PBE.
Neutral-atom scattering factors, no anomalous dispersion.

Main lines, by intensity (2θ = 15–90°):
2θ 35.7, I 100, hkl 2 0 1
2θ 31.0, I 24, hkl 2 0 0
2θ 35.3, I 23, hkl 0 0 2
2θ 67.1, I 21, hkl 2 2 2
2θ 55.1, I 19, hkl 2 2 0
2θ 63.6, I 19, hkl 2 0 3
2θ 67.4, I 16, hkl 4 0 1
2θ 47.6, I 15, hkl 2 0 2
2θ 89.0, I 8, hkl 4 0 3
2θ 15.3, I 4, hkl 1 0 0

Cell and atoms:
```
data_SrErHg6
_chemical_formula_sum 'Sr1 Er1 Hg6'
_space_group_name_H-M_alt 'P -6 m 2'
_space_group_IT_number 187
_space_group_name_Hall 'P -6 2'
_cell_length_a 6.6720
_cell_length_b 6.6720
_cell_length_c 5.0851
_cell_angle_alpha 90.00
_cell_angle_beta 90.00
_cell_angle_gamma 120.00
loop_
_atom_site_label
_atom_site_type_symbol
_atom_site_fract_x
_atom_site_fract_y
_atom_site_fract_z
Sr1 Sr 0.0000 0.0000 0.0000
Er1 Er 0.6667 0.3333 0.5000
Hg1 Hg 0.1739 0.3479 0.5000
Hg2 Hg 0.5018 0.0035 0.0000
```

---

(3)
Simulated powder XRD pattern of Er2HgTe4 for Cu Kα, from a crystal structure in OQMD, relaxed with PBE.
Neutral-atom scattering factors, no anomalous dispersion.

Main lines, by intensity (2θ = 15–90°):
2θ 23.5, I 100, hkl 1 1 2
2θ 38.9, I 77, hkl 2 0 4
2θ 46.0, I 47, hkl 1 1 6
2θ 70.5, I 23, hkl 2 2 8
2θ 61.8, I 19, hkl 3 1 6
2θ 31.3, I 11, hkl 2 1 1
2θ 75.5, I 9, hkl 5 1 2
2θ 56.3, I 8, hkl 4 0 0
2θ 88.4, I 8, hkl 1 5 6
2θ 24.5, I 8, hkl 1 0 3

Cell and atoms:
```
data_Er2HgTe4
_chemical_formula_sum 'Er4 Hg2 Te8'
_space_group_name_H-M_alt 'I -4'
_space_group_IT_number 82
_cell_length_a 6.5405
_cell_length_b 6.5405
_cell_length_c 13.1103
_cell_angle_alpha 90.00
_cell_angle_beta 90.00
_cell_angle_gamma 90.00
loop_
_space_group_symop_operation_xyz
'x,y,z'
'y,-x,-z'
'-x,-y,z'
'-y,x,-z'
'x+1/2,y+1/2,z+1/2'
'y+1/2,-x+1/2,-z+1/2'
'-x+1/2,-y+1/2,z+1/2'
'-y+1/2,x+1/2,-z+1/2'
loop_
_atom_site_label
_atom_site_type_symbol
_atom_site_fract_x
_atom_site_fract_y
_atom_site_fract_z
Er1 Er 0.0000 0.0000 0.0000
Er2 Er 0.0000 0.5000 0.2500
Hg1 Hg 0.0000 0.0000 0.5000
Te1 Te 0.2244 0.7295 0.6351
```

---

(4)
Simulated powder XRD pattern of ErTlHgTe3 for Cu Kα, from a crystal structure in OQMD, relaxed with PBE.
Neutral-atom scattering factors, no anomalous dispersion.

Main lines, by intensity (2θ = 15–90°):
2θ 27.7, I 100, hkl 1 1 -2
2θ 28.1, I 22, hkl 6 0 0
2θ 41.3, I 19, hkl 0 2 0
2θ 39.4, I 18, hkl 5 1 2
2θ 34.1, I 18, hkl 5 1 1
2θ 44.3, I 17, hkl 7 1 -3
2θ 37.7, I 16, hkl 2 0 -4
2θ 50.7, I 12, hkl 6 2 0
2θ 57.1, I 10, hkl 2 2 -4
2θ 47.0, I 10, hkl 4 0 4

Cell and atoms:
```
data_ErTlHgTe3
_chemical_formula_sum 'Er4 Tl4 Hg4 Te12'
_space_group_name_H-M_alt 'C 1 2/m 1'
_space_group_IT_number 12
_cell_length_a 19.5231
_cell_length_b 4.3731
_cell_length_c 9.5532
_cell_angle_alpha 90.00
_cell_angle_beta 102.53
_cell_angle_gamma 90.00
loop_
_space_group_symop_operation_xyz
'x,y,z'
'-x,-y,-z'
'-x,y,-z'
'x,-y,z'
'x+1/2,y+1/2,z'
'-x+1/2,-y+1/2,-z'
'-x+1/2,y+1/2,-z'
'x+1/2,-y+1/2,z'
loop_
_atom_site_label
_atom_site_type_symbol
_atom_site_fract_x
_atom_site_fract_y
_atom_site_fract_z
Er1 Er 0.1750 0.0000 0.0863
Tl1 Tl 0.1333 0.0000 0.5762
Hg1 Hg 0.0363 0.5000 0.2217
Te1 Te 0.0000 0.0000 0.0000
Te2 Te 0.0000 0.5000 0.5000
Te3 Te 0.1673 0.5000 0.8638
Te4 Te 0.1864 0.5000 0.3160
```

---

(5)
Simulated powder XRD pattern of ErTmHg4 for Cu Kα, from a crystal structure in OQMD, relaxed with PBE.
Neutral-atom scattering factors, no anomalous dispersion.

Main lines, by intensity (2θ = 15–90°):
2θ 33.9, I 100, hkl 1 1 1
2θ 36.5, I 98, hkl 0 2 0
2θ 67.4, I 34, hkl 2 2 0
2θ 50.7, I 33, hkl 1 0 4
2θ 64.1, I 32, hkl 1 3 1
2θ 45.7, I 18, hkl 1 2 0
2θ 65.8, I 18, hkl 0 3 3
2θ 87.5, I 15, hkl 1 1 7
2θ 26.5, I 13, hkl 1 0 0
2θ 77.7, I 11, hkl 0 4 0

Cell and atoms:
```
data_ErTmHg4
_chemical_formula_sum 'Er1 Tm1 Hg4'
_space_group_name_H-M_alt 'P 1 2/m 1'
_space_group_IT_number 10
_cell_length_a 3.3657
_cell_length_b 4.9148
_cell_length_c 8.5216
_cell_angle_alpha 90.00
_cell_angle_beta 90.01
_cell_angle_gamma 90.00
loop_
_space_group_symop_operation_xyz
'x,y,z'
'-x,-y,-z'
'-x,y,-z'
'x,-y,z'
loop_
_atom_site_label
_atom_site_type_symbol
_atom_site_fract_x
_atom_site_fract_y
_atom_site_fract_z
Er1 Er 0.0000 0.0000 0.0000
Tm1 Tm 0.0000 0.5000 0.5000
Hg1 Hg 0.4951 0.0000 0.6664
Hg2 Hg 0.4951 0.5000 0.1669
```

---

(6)
Simulated powder XRD pattern of Y3Er2Hg3 for Cu Kα, from a crystal structure in OQMD, relaxed with PBE.
Neutral-atom scattering factors, no anomalous dispersion.

Main lines, by intensity (2θ = 15–90°):
2θ 34.5, I 100, hkl 2 0 1
2θ 64.6, I 37, hkl 2 2 2
2θ 29.7, I 29, hkl 2 0 0
2θ 34.6, I 21, hkl 0 0 2
2θ 52.7, I 19, hkl 2 2 0
2θ 62.0, I 18, hkl 2 0 3
2θ 46.2, I 18, hkl 2 0 2
2θ 87.9, I 15, hkl 4 2 1
2θ 17.1, I 8, hkl 0 0 1
2θ 85.6, I 8, hkl 4 0 3

Cell and atoms:
```
data_Y3Er2Hg3
_chemical_formula_sum 'Y3 Er2 Hg3'
_space_group_name_H-M_alt 'P -6 m 2'
_space_group_IT_number 187
_space_group_name_Hall 'P -6 2'
_cell_length_a 6.9481
_cell_length_b 6.9481
_cell_length_c 5.1809
_cell_angle_alpha 90.00
_cell_angle_beta 90.00
_cell_angle_gamma 120.00
loop_
_atom_site_label
_atom_site_type_symbol
_atom_site_fract_x
_atom_site_fract_y
_atom_site_fract_z
Y1 Y 0.1695 0.3391 0.0000
Er1 Er 0.0000 0.0000 0.5000
Er2 Er 0.6667 0.3333 0.0000
Hg1 Hg 0.0030 0.5015 0.5000
```

---

(7)
Simulated powder XRD pattern of YEr2Hg5 for Cu Kα, from a crystal structure in OQMD, relaxed with PBE.
Neutral-atom scattering factors, no anomalous dispersion.

Main lines, by intensity (2θ = 15–90°):
2θ 34.7, I 100, hkl 1 2 2
2θ 35.1, I 22, hkl 2 0 0
2θ 62.7, I 15, hkl 3 2 2
2θ 50.1, I 13, hkl 2 0 4
2θ 62.1, I 11, hkl 1 2 6
2θ 73.2, I 7, hkl 2 4 4
2θ 62.2, I 7, hkl 2 4 0
2θ 49.6, I 7, hkl 0 4 0
2θ 61.9, I 6, hkl 0 4 4
2θ 83.3, I 5, hkl 1 6 2

Cell and atoms:
```
data_YEr2Hg5
_chemical_formula_sum 'Y2 Er4 Hg10'
_space_group_name_H-M_alt 'A m m 2'
_space_group_IT_number 38
_cell_length_a 5.1126
_cell_length_b 7.3471
_cell_length_c 10.3590
_cell_angle_alpha 90.00
_cell_angle_beta 90.00
_cell_angle_gamma 90.00
loop_
_space_group_symop_operation_xyz
'x,y,z'
'-x,-y,z'
'-x,y,z'
'x,-y,z'
'x,y+1/2,z+1/2'
'-x,-y+1/2,z+1/2'
'-x,y+1/2,z+1/2'
'x,-y+1/2,z+1/2'
loop_
_atom_site_label
_atom_site_type_symbol
_atom_site_fract_x
_atom_site_fract_y
_atom_site_fract_z
Y1 Y 0.0000 0.0000 0.0000
Er1 Er 0.0000 0.0000 0.4420
Er2 Er 0.5000 0.0000 0.7398
Hg1 Hg 0.0000 0.2195 0.7193
Hg2 Hg 0.5000 0.0000 0.2365
Hg3 Hg 0.5000 0.2434 0.4913
```

---

(8)
Simulated powder XRD pattern of Ho5Er3 for Cu Kα, from a crystal structure in OQMD, relaxed with PBE.
Neutral-atom scattering factors, no anomalous dispersion.

Main lines, by intensity (2θ = 15–90°):
2θ 33.1, I 100, hkl 2 0 1
2θ 28.8, I 24, hkl 2 0 0
2θ 32.2, I 24, hkl 0 0 2
2θ 61.6, I 22, hkl 2 2 2
2θ 58.0, I 20, hkl 2 0 3
2θ 51.0, I 20, hkl 2 2 0
2θ 62.2, I 16, hkl 4 0 1
2θ 43.7, I 15, hkl 2 0 2
2θ 84.5, I 14, hkl 4 2 1
2θ 89.2, I 9, hkl 2 2 4

Cell and atoms:
```
data_Ho5Er3
_chemical_formula_sum 'Ho5 Er3'
_space_group_name_H-M_alt 'P -6 m 2'
_space_group_IT_number 187
_space_group_name_Hall 'P -6 2'
_cell_length_a 7.1594
_cell_length_b 7.1594
_cell_length_c 5.5576
_cell_angle_alpha 90.00
_cell_angle_beta 90.00
_cell_angle_gamma 120.00
loop_
_atom_site_label
_atom_site_type_symbol
_atom_site_fract_x
_atom_site_fract_y
_atom_site_fract_z
Ho1 Ho 0.0000 0.0000 0.0000
Ho2 Ho 0.0000 0.5000 0.0000
Ho3 Ho 0.3333 0.6667 0.5000
Er1 Er 0.3337 0.1668 0.5000
```

---

(9)
Simulated powder XRD pattern of HoEr3In2 for Cu Kα, from a crystal structure in OQMD, relaxed with PBE.
Neutral-atom scattering factors, no anomalous dispersion.

Main lines, by intensity (2θ = 15–90°):
2θ 33.5, I 100, hkl 1 1 0
2θ 33.1, I 97, hkl 1 0 2
2θ 59.7, I 36, hkl 2 1 2
2θ 47.8, I 35, hkl 2 0 2
2θ 66.0, I 28, hkl 1 1 4
2θ 60.0, I 19, hkl 3 0 0
2θ 80.1, I 15, hkl 3 1 2
2θ 85.8, I 14, hkl 3 0 4
2θ 70.5, I 12, hkl 2 2 0
2θ 55.1, I 8, hkl 0 0 4

Cell and atoms:
```
data_HoEr3In2
_chemical_formula_sum 'Ho1 Er3 In2'
_space_group_name_H-M_alt 'P -6 m 2'
_space_group_IT_number 187
_space_group_name_Hall 'P -6 2'
_cell_length_a 5.3435
_cell_length_b 5.3435
_cell_length_c 6.6697
_cell_angle_alpha 90.00
_cell_angle_beta 90.00
_cell_angle_gamma 120.00
loop_
_atom_site_label
_atom_site_type_symbol
_atom_site_fract_x
_atom_site_fract_y
_atom_site_fract_z
Ho1 Ho 0.0000 0.0000 0.0000
Er1 Er 0.3333 0.6667 0.5000
Er2 Er 0.6667 0.3333 0.2500
In1 In 0.0000 0.0000 0.5000
In2 In 0.3333 0.6667 0.0000
```

---

(10)
Simulated powder XRD pattern of HoEr2In3Ir2 for Cu Kα, from a crystal structure in OQMD, relaxed with PBE.
Neutral-atom scattering factors, no anomalous dispersion.

Main lines, by intensity (2θ = 15–90°):
2θ 34.2, I 100, hkl 1 0 2
2θ 36.9, I 71, hkl 1 2 2
2θ 36.1, I 68, hkl 0 5 1
2θ 63.5, I 26, hkl 2 5 1
2θ 70.6, I 22, hkl 1 3 5
2θ 56.5, I 20, hkl 1 7 1
2θ 41.2, I 19, hkl 0 3 3
2θ 67.2, I 18, hkl 1 7 3
2θ 50.3, I 17, hkl 2 0 0
2θ 50.0, I 16, hkl 0 5 3

Cell and atoms:
```
data_HoEr2In3Ir2
_chemical_formula_sum 'Ho2 Er4 In6 Ir4'
_space_group_name_H-M_alt 'A m m 2'
_space_group_IT_number 38
_cell_length_a 3.6304
_cell_length_b 13.1561
_cell_length_c 7.5937
_cell_angle_alpha 90.00
_cell_angle_beta 90.00
_cell_angle_gamma 90.00
loop_
_space_group_symop_operation_xyz
'x,y,z'
'-x,-y,z'
'-x,y,z'
'x,-y,z'
'x,y+1/2,z+1/2'
'-x,-y+1/2,z+1/2'
'-x,y+1/2,z+1/2'
'x,-y+1/2,z+1/2'
loop_
_atom_site_label
_atom_site_type_symbol
_atom_site_fract_x
_atom_site_fract_y
_atom_site_fract_z
Ho1 Ho 0.0000 0.0000 0.0000
Er1 Er 0.0000 0.2110 0.3670
In1 In 0.5000 0.0000 0.3435
In2 In 0.5000 0.1173 0.6953
Ir1 Ir 0.5000 0.1668 0.0781
```

---

(11)
Simulated powder XRD pattern of Ho3ErIn2N2 for Cu Kα, from a crystal structure in OQMD, relaxed with PBE.
Neutral-atom scattering factors, no anomalous dispersion.

Main lines, by intensity (2θ = 15–90°):
2θ 34.2, I 100, hkl 0 0 6
2θ 64.1, I 30, hkl 1 1 6
2θ 29.5, I 18, hkl 1 0 0
2θ 61.3, I 18, hkl 1 0 9
2θ 52.4, I 17, hkl 1 1 0
2θ 45.8, I 14, hkl 1 0 6
2θ 87.2, I 12, hkl 2 1 3
2θ 84.8, I 8, hkl 2 0 9
2θ 72.1, I 6, hkl 0 0 12
2θ 79.8, I 2, hkl 1 0 12

Cell and atoms:
```
data_Ho3ErIn2N2
_chemical_formula_sum 'Ho3 Er1 In2 N2'
_space_group_name_H-M_alt 'P 3 m 1'
_space_group_IT_number 156
_cell_length_a 3.4945
_cell_length_b 3.4945
_cell_length_c 15.7056
_cell_angle_alpha 90.00
_cell_angle_beta 90.00
_cell_angle_gamma 120.00
loop_
_space_group_symop_operation_xyz
'x,y,z'
'-y,x-y,z'
'-x+y,-x,z'
'-y,-x,z'
'-x+y,y,z'
'x,x-y,z'
loop_
_atom_site_label
_atom_site_type_symbol
_atom_site_fract_x
_atom_site_fract_y
_atom_site_fract_z
Ho1 Ho 0.0000 0.0000 0.0000
Ho2 Ho 0.0000 0.0000 0.3320
Ho3 Ho 0.3333 0.6667 0.8314
Er1 Er 0.3333 0.6667 0.4999
In1 In 0.0000 0.0000 0.6653
In2 In 0.3333 0.6667 0.1661
N1 N 0.6667 0.3333 0.4169
N2 N 0.6667 0.3333 0.9157
```

---

(12)
Simulated powder XRD pattern of HoErInN for Cu Kα, from a crystal structure in OQMD, relaxed with PBE.
Neutral-atom scattering factors, no anomalous dispersion.

Main lines, by intensity (2θ = 15–90°):
2θ 34.3, I 100, hkl 0 0 6
2θ 64.2, I 30, hkl 1 1 6
2θ 29.6, I 18, hkl 1 0 0
2θ 61.4, I 18, hkl 0 1 9
2θ 52.4, I 17, hkl 1 1 0
2θ 45.9, I 14, hkl 1 0 6
2θ 87.4, I 12, hkl 2 1 3
2θ 84.9, I 8, hkl 2 0 9
2θ 72.3, I 6, hkl 0 0 12
2θ 80.0, I 2, hkl 1 0 12

Cell and atoms:
```
data_HoErInN
_chemical_formula_sum 'Ho2 Er2 In2 N2'
_space_group_name_H-M_alt 'P -3 m 1'
_space_group_IT_number 164
_space_group_name_Hall '-P 3 2"'
_cell_length_a 3.4896
_cell_length_b 3.4896
_cell_length_c 15.6819
_cell_angle_alpha 90.00
_cell_angle_beta 90.00
_cell_angle_gamma 120.00
loop_
_atom_site_label
_atom_site_type_symbol
_atom_site_fract_x
_atom_site_fract_y
_atom_site_fract_z
Ho1 Ho 0.3333 0.6667 0.0844
Er1 Er 0.3333 0.6667 0.4162
In1 In 0.3333 0.6667 0.7491
N1 N 0.0000 0.0000 0.0000
N2 N 0.0000 0.0000 0.5000
```